[1]
For Sr3MnBiO6, a crystal structure in the Materials Project, relaxed with GGA+U gives the computed powder XRD pattern in this record (Cu Ka).

Crystal structure
```
Sr3MnBiO6
1.0
5.385 0.000 0.000
0.000 24.019 0.000
-5.380 0.000 5.406
Sr Mn Bi O
12 4 4 24
Cartesian
-0.035 1.349 1.373 Sr
-2.725 10.661 4.076 Sr
0.019 16.166 1.337 Sr
-2.672 19.862 4.040 Sr
-2.672 16.149 4.047 Sr
0.018 19.879 1.344 Sr
-0.013 4.140 4.061 Sr
2.677 7.870 1.358 Sr
2.676 4.157 1.366 Sr
-0.014 7.853 4.069 Sr
2.730 13.358 1.330 Sr
0.040 22.670 4.033 Sr
-0.005 5.878 1.354 Mn
-2.695 6.131 4.057 Mn
2.700 17.888 1.349 Mn
0.010 18.141 4.052 Mn
-2.594 1.402 3.950 Bi
0.096 10.608 1.247 Bi
-0.091 13.411 4.158 Bi
2.599 22.617 1.456 Bi
0.003 13.491 0.910 O
-2.687 22.538 3.613 O
-2.723 3.581 4.083 O
0.006 3.689 1.343 O
-1.349 5.984 2.705 O
1.341 6.026 0.002 O
-2.684 8.320 4.046 O
-0.033 8.429 1.380 O
-1.340 18.000 2.704 O
1.350 18.029 0.001 O
-2.262 13.333 4.059 O
0.428 22.696 1.356 O
-0.423 1.323 4.050 O
2.267 10.686 1.347 O
-1.346 5.990 5.405 O
1.345 6.019 2.702 O
0.037 15.590 4.025 O
2.689 15.699 1.360 O
-1.336 17.993 5.404 O
1.354 18.035 2.701 O
-0.001 20.330 4.063 O
2.728 20.439 1.323 O
2.692 1.481 1.793 O
0.002 10.528 4.496 O
```

Top 6 peaks for 2θ from 15° to 90°, sorted by position:
- 2θ = 25.87°, rel. 35
- 2θ = 29.91°, rel. 100
- 2θ = 33.15°, rel. 34
- 2θ = 33.27°, rel. 34
- 2θ = 45.19°, rel. 31
- 2θ = 47.67°, rel. 29



[2]
For Ba2EuCoCu2O7, a crystal structure in the Materials Project, relaxed with GGA+U gives the computed powder XRD pattern in this record (Cu Ka).

Crystal structure
```
Ba2EuCoCu2O7
1.0
3.902 0.000 0.000
0.000 3.928 0.000
0.000 0.000 11.985
Ba Eu Co Cu O
2 1 1 2 7
Cartesian
0.000 0.000 2.220 Ba
0.000 0.000 9.765 Ba
0.000 0.000 5.993 Eu
1.951 1.964 0.000 Co
1.951 1.964 4.287 Cu
1.951 1.964 7.698 Cu
0.000 1.964 4.456 O
0.000 1.964 7.529 O
1.951 0.000 0.000 O
1.951 0.000 4.459 O
1.951 0.000 7.526 O
1.951 1.964 1.800 O
1.951 1.964 10.185 O
```

Top 6 peaks for 2θ from 15° to 90°, sorted by position:
- 2θ = 31.95°, rel. 89
- 2θ = 32.06°, rel. 100
- 2θ = 32.34°, rel. 96
- 2θ = 39.61°, rel. 33
- 2θ = 57.37°, rel. 37
- 2θ = 57.58°, rel. 33



[3]
For Fe3OF5, a crystal structure in the Materials Project, relaxed with GGA+U gives the computed powder XRD pattern in this record (Cu Ka).

Crystal structure
```
Fe3OF5
1.0
5.763 0.000 0.000
1.856 5.463 0.000
2.064 1.561 6.960
Fe O F
6 2 10
Cartesian
0.000 0.000 0.000 Fe
1.173 0.944 3.440 Fe
2.896 2.161 1.215 Fe
4.084 2.972 4.624 Fe
7.003 5.041 5.874 Fe
6.017 4.110 2.184 Fe
1.414 2.602 2.253 O
6.012 4.266 0.383 O
2.908 4.597 4.617 F
2.386 1.700 4.888 F
3.893 2.799 6.755 F
3.091 3.777 0.018 F
4.847 5.881 2.270 F
4.279 3.014 2.453 F
5.855 4.175 4.236 F
5.244 1.330 4.644 F
4.565 1.677 0.061 F
7.603 5.407 2.135 F
```

Top 6 peaks for 2θ from 15° to 90°, sorted by position:
- 2θ = 26.55°, rel. 100
- 2θ = 33.34°, rel. 14
- 2θ = 33.44°, rel. 28
- 2θ = 51.25°, rel. 24
- 2θ = 51.79°, rel. 16
- 2θ = 54.68°, rel. 18